(1)
This entry pairs a crystal structure of La4Ni with its computed powder X-ray diffraction pattern. Radiation: Cu Kα (λ = 1.5418 Å). Structure: a structure optimized by DFT (GGA-PBE).

Principal peaks in the range 10° ≤ 2θ ≤ 90°, low angle first:
- 27.50°, d = 3.244 Å, rel. 100
- 31.85°, d = 2.809 Å, rel. 39
- 34.80°, d = 2.578 Å, rel. 10
- 41.77°, d = 2.163 Å, rel. 11
- 45.67°, d = 1.987 Å, rel. 44
- 54.14°, d = 1.694 Å, rel. 39
- 56.76°, d = 1.622 Å, rel. 9
- 73.46°, d = 1.289 Å, rel. 14
- 75.70°, d = 1.256 Å, rel. 9
- 84.47°, d = 1.147 Å, rel. 11

Atomic structure:
a b c (Å): 7.946 7.946 7.946
angles (deg): 60.00 60.00 60.00
Sites, in units of the cell vectors:
La (0.219, 0.760, 0.760)
La (0.240, 0.240, 0.240)
La (0.240, 0.240, 0.781)
La (0.240, 0.781, 0.240)
La (0.760, 0.219, 0.760)
La (0.760, 0.760, 0.219)
La (0.760, 0.760, 0.760)
La (0.781, 0.240, 0.240)
Ni (0.375, 0.375, 0.375)
Ni (0.625, 0.625, 0.625)

***

(2)
This entry pairs a crystal structure of La3Ni with its computed powder X-ray diffraction pattern. Radiation: Cu Kα (λ = 1.5418 Å). Structure: a structure optimized by DFT (GGA-PBE).

Principal peaks in the range 10° ≤ 2θ ≤ 90°, low angle first:
- 29.66°, d = 3.012 Å, rel. 100
- 29.74°, d = 3.004 Å, rel. 28
- 30.54°, d = 2.927 Å, rel. 36
- 31.05°, d = 2.880 Å, rel. 57
- 32.24°, d = 2.777 Å, rel. 40
- 33.48°, d = 2.677 Å, rel. 46
- 36.52°, d = 2.460 Å, rel. 20
- 40.14°, d = 2.246 Å, rel. 20
- 51.04°, d = 1.790 Å, rel. 20
- 54.58°, d = 1.682 Å, rel. 40

Atomic structure:
a b c (Å): 7.163 10.156 6.617
angles (deg): 90.00 90.00 90.00
Sites, in units of the cell vectors:
La (0.038, 0.250, 0.144)
La (0.172, 0.067, 0.672)
La (0.172, 0.433, 0.672)
La (0.328, 0.567, 0.172)
La (0.328, 0.933, 0.172)
La (0.462, 0.750, 0.644)
La (0.538, 0.250, 0.356)
La (0.672, 0.067, 0.828)
La (0.672, 0.433, 0.828)
La (0.828, 0.567, 0.328)
La (0.828, 0.933, 0.328)
La (0.962, 0.750, 0.856)
Ni (0.115, 0.750, 0.430)
Ni (0.385, 0.250, 0.930)
Ni (0.615, 0.750, 0.070)
Ni (0.885, 0.250, 0.570)

***

(3)
This entry pairs a crystal structure of LaNi5 with its computed powder X-ray diffraction pattern. Radiation: Cu Kα (λ = 1.5418 Å). Structure: a structure optimized by DFT (GGA-PBE).

Principal peaks in the range 10° ≤ 2θ ≤ 90°, low angle first:
- 30.61°, d = 2.920 Å, rel. 43
- 35.93°, d = 2.500 Å, rel. 30
- 41.73°, d = 2.165 Å, rel. 35
- 42.80°, d = 2.113 Å, rel. 100
- 45.88°, d = 1.978 Å, rel. 26
- 59.61°, d = 1.551 Å, rel. 14
- 63.74°, d = 1.460 Å, rel. 19
- 69.31°, d = 1.356 Å, rel. 22
- 76.17°, d = 1.250 Å, rel. 16
- 82.77°, d = 1.166 Å, rel. 19

Atomic structure:
a b c (Å): 4.999 4.999 3.956
angles (deg): 90.00 90.00 120.00
Sites, in units of the cell vectors:
La (0.000, 0.000, 0.000)
Ni (0.000, 0.500, 0.500)
Ni (0.333, 0.667, 0.000)
Ni (0.500, 0.000, 0.500)
Ni (0.500, 0.500, 0.500)
Ni (0.667, 0.333, 0.000)

***

(4)
This entry pairs a crystal structure of LaNi3 with its computed powder X-ray diffraction pattern. Radiation: Cu Kα (λ = 1.5418 Å). Structure: a structure optimized by DFT (GGA-PBE).

Principal peaks in the range 10° ≤ 2θ ≤ 90°, low angle first:
- 32.39°, d = 2.764 Å, rel. 46
- 35.32°, d = 2.541 Å, rel. 42
- 35.62°, d = 2.521 Å, rel. 51
- 41.53°, d = 2.174 Å, rel. 42
- 41.89°, d = 2.157 Å, rel. 100
- 44.96°, d = 2.016 Å, rel. 16
- 45.33°, d = 2.001 Å, rel. 20
- 63.78°, d = 1.459 Å, rel. 15
- 68.27°, d = 1.374 Å, rel. 22
- 75.42°, d = 1.260 Å, rel. 23

Atomic structure:
a b c (Å): 8.828 8.828 8.828
angles (deg): 33.18 33.18 33.18
Sites, in units of the cell vectors:
La (0.000, 0.000, 0.000)
La (0.138, 0.138, 0.138)
La (0.862, 0.862, 0.862)
Ni (0.082, 0.580, 0.580)
Ni (0.332, 0.332, 0.332)
Ni (0.420, 0.420, 0.918)
Ni (0.420, 0.918, 0.420)
Ni (0.500, 0.500, 0.500)
Ni (0.580, 0.082, 0.580)
Ni (0.580, 0.580, 0.082)
Ni (0.668, 0.668, 0.668)
Ni (0.918, 0.420, 0.420)